# DyWClO4
Theoretical X-ray diffraction stick pattern, Cu Ka. Input: a structure optimized by DFT (PBE+U).
Kinematic intensities with the Lorentz-polarization factor, no thermal factor.

Crystal structure
a = 10.376 Å, b = 7.350 Å, c = 6.972 Å
α = 90.00°, β = 107.82°, γ = 90.00°
Space group C2/m (No. 12)
Unique sites:
Dy 0.222 0.000 0.116 [4 per cell]
W 0.137 0.500 0.267 [4 per cell]
Cl 0.010 0.000 0.769 [4 per cell]
O 0.046 0.500 0.807 [4 per cell]
O 0.201 0.308 0.156 [8 per cell]
O 0.204 0.500 0.537 [4 per cell]

The 10 most intense peaks (2θ from 15° to 90°), in order of rising 2θ:
2theta	I_rel	hkl
15.02	24.0	1 1 0
17.96	38.8	2 0 0
24.22	100.0	0 2 0
25.56	58.1	2 0 1
28.35	61.4	1 1 -2
28.99	57.9	3 1 -1
34.20	41.9	3 1 -2
35.50	34.3	2 2 1
45.41	27.8	5 1 -1
46.39	23.0	1 1 3